Li8NiO4F2: simulated powder XRD pattern (Cu Kα (λ = 1.5418 Å)), based on a PBE+U-relaxed structure.
Intensities are scaled so that the largest is 100.

Largest 10 diffraction maxima, by intensity, 2θ = 10–90°:
2θ/deg	d_spacing	I/Imax
21.9	4.050	100
19.4	4.568	84
37.1	2.423	50
19.8	4.495	48
36.8	2.442	48
37.5	2.401	46
17.2	5.149	45
58.0	1.591	37
48.4	1.881	31
34.6	2.596	23

```
data_Li8NiO4F2
_space_group_name_H-M_alt 'P 1'
_space_group_IT_number 1
_cell_length_a 5.4652
_cell_length_b 5.4692
_cell_length_c 6.0022
_cell_angle_alpha 63.55
_cell_angle_beta 63.83
_cell_angle_gamma 60.81
loop_
_space_group_symop_operation_xyz
'x,y,z'
loop_
_atom_site_label
_atom_site_fract_x
_atom_site_fract_y
_atom_site_fract_z
_atom_site_occupancy
Li1 0.0158 0.3946 0.3660 1
Li2 0.0959 0.2163 0.0000 1
Li3 0.2547 0.9632 0.6659 1
Li4 0.3903 0.7137 0.3531 1
Li5 0.6097 0.2863 0.6469 1
Li6 0.7453 0.0368 0.3341 1
Li7 0.9041 0.7837 0.0000 1
Li8 0.9842 0.6054 0.6340 1
Ni1 0.5000 0.5000 0.0000 1
O1 0.1066 0.7406 0.2352 1
O2 0.2605 0.5770 0.7645 1
O3 0.7395 0.4230 0.2355 1
O4 0.8934 0.2594 0.7648 1
F1 0.3986 0.0887 0.2790 1
F2 0.6014 0.9113 0.7210 1
```

=====

Li5Ni3O5F3: simulated powder XRD pattern (Cu Kα (λ = 1.5418 Å)), based on a PBE+U-relaxed structure.
Intensities are scaled so that the largest is 100.

Largest 10 diffraction maxima, by intensity, 2θ = 10–90°:
2θ/deg	d_spacing	I/Imax
18.4	4.816	100
42.3	2.134	34
44.3	2.045	30
44.6	2.034	29
35.1	2.560	23
18.7	4.740	18
63.0	1.476	17
36.7	2.449	13
36.6	2.458	12
63.1	1.474	9

```
data_Li5Ni3O5F3
_space_group_name_H-M_alt 'P 1'
_space_group_IT_number 1
_cell_length_a 5.6983
_cell_length_b 5.8391
_cell_length_c 5.8916
_cell_angle_alpha 119.43
_cell_angle_beta 118.73
_cell_angle_gamma 90.31
loop_
_space_group_symop_operation_xyz
'x,y,z'
loop_
_atom_site_label
_atom_site_fract_x
_atom_site_fract_y
_atom_site_fract_z
_atom_site_occupancy
Li1 0.0000 0.0000 0.0000 1
Li2 0.0060 0.5202 0.5252 1
Li3 0.4773 0.9925 0.9921 1
Li4 0.4846 0.5160 0.9995 1
Li5 0.4947 0.5080 0.5016 1
Ni1 0.4803 0.9960 0.4751 1
Ni2 0.9935 0.0092 0.5031 1
Ni3 0.9993 0.5148 0.0017 1
O1 0.2275 0.7755 0.4844 1
O2 0.2393 0.7549 0.9998 1
O3 0.2457 0.2264 0.5049 1
O4 0.7425 0.7932 0.5028 1
O5 0.7597 0.2432 0.5255 1
F1 0.2587 0.2642 0.0244 1
F2 0.7281 0.7540 0.9828 1
F3 0.7539 0.2689 0.0255 1
```

=====

Li3NiOF3: simulated powder XRD pattern (Cu Kα (λ = 1.5418 Å)), based on a PBE+U-relaxed structure.
Intensities are scaled so that the largest is 100.

Largest 10 diffraction maxima, by intensity, 2θ = 10–90°:
2θ/deg	d_spacing	I/Imax
43.4	2.085	100
18.6	4.781	77
43.8	2.067	57
19.1	4.652	42
63.3	1.470	38
63.5	1.466	29
35.6	2.519	28
22.0	4.039	25
33.4	2.683	16
47.7	1.906	15

```
data_Li3NiOF3
_space_group_name_H-M_alt 'P 1'
_space_group_IT_number 1
_cell_length_a 5.0808
_cell_length_b 5.0808
_cell_length_c 10.1608
_cell_angle_alpha 99.93
_cell_angle_beta 99.93
_cell_angle_gamma 33.87
loop_
_space_group_symop_operation_xyz
'x,y,z'
loop_
_atom_site_label
_atom_site_fract_x
_atom_site_fract_y
_atom_site_fract_z
_atom_site_occupancy
Li1 0.0000 0.0000 0.0000 1
Li2 0.0000 0.0000 0.5000 1
Li3 0.2498 0.2498 0.8818 1
Li4 0.4968 0.4968 0.7449 1
Li5 0.5032 0.5032 0.2551 1
Li6 0.7502 0.7502 0.1182 1
Ni1 0.2440 0.2440 0.3830 1
Ni2 0.7560 0.7560 0.6170 1
O1 0.3729 0.3729 0.5647 1
O2 0.6271 0.6271 0.4353 1
F1 0.1250 0.1250 0.1810 1
F2 0.1298 0.1298 0.6994 1
F3 0.3751 0.3751 0.0614 1
F4 0.6249 0.6249 0.9386 1
F5 0.8702 0.8702 0.3006 1
F6 0.8750 0.8750 0.8190 1
```

=====

Li3Ni5OF11: simulated powder XRD pattern (Cu Kα (λ = 1.5418 Å)), based on a PBE+U-relaxed structure.
Intensities are scaled so that the largest is 100.

Largest 10 diffraction maxima, by intensity, 2θ = 10–90°:
2θ/deg	d_spacing	I/Imax
18.6	4.759	100
33.3	2.693	34
35.1	2.560	33
35.6	2.522	31
44.3	2.046	31
39.7	2.272	28
44.0	2.059	21
27.4	3.250	21
60.9	1.521	20
22.1	4.018	17

```
data_Li3Ni5OF11
_space_group_name_H-M_alt 'P 1'
_space_group_IT_number 1
_cell_length_a 5.3041
_cell_length_b 5.4044
_cell_length_c 8.9531
_cell_angle_alpha 88.79
_cell_angle_beta 89.15
_cell_angle_gamma 63.80
loop_
_space_group_symop_operation_xyz
'x,y,z'
loop_
_atom_site_label
_atom_site_fract_x
_atom_site_fract_y
_atom_site_fract_z
_atom_site_occupancy
Li1 0.0000 0.0000 0.0000 1
Li2 0.0339 0.4531 0.4769 1
Li3 0.7268 0.1478 0.4847 1
Ni1 0.3718 0.8180 0.3124 1
Ni2 0.3748 0.3130 0.1482 1
Ni3 0.3867 0.7839 0.6461 1
Ni4 0.3929 0.2823 0.8167 1
Ni5 0.6767 0.7264 0.9539 1
O1 0.6184 0.0882 0.9897 1
F1 0.1040 0.5648 0.9733 1
F2 0.1272 0.0490 0.4894 1
F3 0.1353 0.1044 0.1660 1
F4 0.1605 0.5863 0.3099 1
F5 0.1821 0.5443 0.6476 1
F6 0.2086 0.0116 0.8287 1
F7 0.5761 0.5745 0.1364 1
F8 0.5832 0.0488 0.3199 1
F9 0.6108 0.0052 0.6536 1
F10 0.6313 0.5510 0.4734 1
F11 0.6394 0.4931 0.7945 1
```